# 1
# NbFeP
Computed X-ray powder pattern, λ = 1.5418 Å (Cu Kα). Input: a DFT-relaxed cell (PBE, the Materials Project).
Kinematic intensities with the Lorentz-polarization factor, no thermal factor.

Structural model:
Lattice parameters (Å, degrees): 6.1533 3.5973 6.9760 90.00 90.00 90.00
Space group Pnma (No. 62)
Asymmetric unit:
Nb (0.0226, 0.2500, 0.1765) x4
Fe (0.1411, 0.2500, 0.5620) x4
P (0.2222, 0.7500, 0.3814) x4

Peak list (10 most intense, 2θ from 5° to 70°, in order of falling intensity)
d [Å]	Position (°2θ)	I_rel	index
2.319	38.8	100	1 1 2
2.217	40.7	86	2 1 1
2.175	41.5	39	1 0 3
1.799	50.8	33	0 2 0
1.386	67.6	27	1 2 3
1.968	46.1	25	3 0 1
2.338	38.5	25	2 1 0
1.953	46.5	23	0 1 3
2.307	39.0	19	2 0 2
3.197	27.9	19	0 1 1

***

# 2
# Ba2GaBiS5
Computed X-ray powder pattern, λ = 1.5418 Å (Cu Kα). Input: a DFT-relaxed cell (PBE, the Materials Project).
Kinematic intensities with the Lorentz-polarization factor, no thermal factor.

Structural model:
Lattice parameters (Å, degrees): 12.3769 9.0088 9.0808 90.00 90.00 90.00
Space group Pnma (No. 62)
Asymmetric unit:
Ba (0.1772, 0.0085, 0.1164) x8
Ga (0.0953, 0.7500, 0.8279) x4
Bi (0.0183, 0.7500, 0.4635) x4
S (0.0060, 0.2500, 0.9680) x4
S (0.0555, 0.5500, 0.6751) x8
S (0.2149, 0.7500, 0.3722) x4
S (0.2252, 0.2500, 0.3798) x4

Peak list (10 most intense, 2θ from 5° to 70°, in order of falling intensity)
d [Å]	Position (°2θ)	I_rel	index
3.096	28.8	100	1 2 2
3.756	23.7	70	3 0 1
3.642	24.4	54	2 2 0
3.836	23.2	53	1 2 1
2.928	30.5	34	4 0 1
2.841	31.5	33	2 2 2
2.110	42.9	32	5 2 1
2.252	40.0	32	0 4 0
2.145	42.1	28	3 2 3
2.553	35.2	26	4 2 0

***

# 3
# CaNi3
Computed X-ray powder pattern, λ = 1.5418 Å (Cu Kα). Input: a DFT-relaxed cell (PBE, the Materials Project).
Kinematic intensities with the Lorentz-polarization factor, no thermal factor.

Structural model:
Lattice parameters (Å, degrees): 4.9771 4.9771 23.9912 90.00 90.00 120.00
Space group R-3m (No. 166, hexagonal axes)
Asymmetric unit:
Ca (0.0000, 0.0000, 0.0000) x3
Ca (0.0000, 0.0000, 0.1403) x6
Ni (0.0000, 0.0000, 0.3325) x6
Ni (0.0000, 0.0000, 0.5000) x3
Ni (0.0016, 0.5008, 0.0810) x18

Peak list (10 most intense, 2θ from 5° to 70°, in order of falling intensity)
d [Å]	Position (°2θ)	I_rel	index
2.113	42.8	100	1 1 6
1.966	46.2	45	2 0 5
4.242	20.9	43	1 0 1
2.147	42.1	29	0 2 1
1.999	45.4	28	0 0 12
1.824	50.0	24	0 2 7
1.352	69.5	21	0 3 6
2.489	36.1	18	1 1 0
1.946	46.7	17	0 1 11
2.121	42.6	16	2 0 2

***

# 4
# Cs2LiPrBr6
Computed X-ray powder pattern, λ = 1.5418 Å (Cu Kα). Input: a DFT-relaxed cell (PBE, the Materials Project).
Kinematic intensities with the Lorentz-polarization factor, no thermal factor.

Structural model:
Lattice parameters (Å, degrees): 11.3996 11.3996 11.3996 90.00 90.00 90.00
Space group Fm-3m (No. 225)
Asymmetric unit:
Cs (0.2500, 0.2500, 0.2500) x8
Li (0.0000, 0.0000, 0.0000) x4
Pr (0.0000, 0.0000, 0.5000) x4
Br (0.0000, 0.0000, 0.2446) x24

Peak list (10 most intense, 2θ from 5° to 70°, in order of falling intensity)
d [Å]	Position (°2θ)	I_rel	index
2.850	31.4	100	4 0 0
3.291	27.1	89	2 2 2
2.015	45.0	72	4 4 0
1.719	53.3	39	6 2 2
4.030	22.1	35	2 2 0
1.645	55.9	25	4 4 4
6.582	13.5	18	1 1 1
3.437	25.9	16	3 1 1
2.327	38.7	16	4 2 2
1.425	65.5	12	8 0 0

***

# 5
# Na2TlBi
Computed X-ray powder pattern, λ = 1.5418 Å (Cu Kα). Input: a DFT-relaxed cell (PBE, the Materials Project).
Kinematic intensities with the Lorentz-polarization factor, no thermal factor.

Structural model:
Lattice parameters (Å, degrees): 7.7335 7.7335 7.7335 90.00 90.00 90.00
Space group Fm-3m (No. 225)
Asymmetric unit:
Na (0.2500, 0.2500, 0.2500) x8
Tl (0.0000, 0.0000, 0.0000) x4
Bi (0.0000, 0.0000, 0.5000) x4

Peak list (7 most intense, 2θ from 5° to 70°, in order of falling intensity)
d [Å]	Position (°2θ)	I_rel	index
2.734	32.8	100	2 2 0
3.867	23.0	73	2 0 0
1.579	58.5	39	4 2 2
1.729	53.0	33	4 2 0
2.232	40.4	23	2 2 2
1.933	47.0	19	4 0 0
1.367	68.7	12	4 4 0

***

# 6
# CoCu2GeSe4
Computed X-ray powder pattern, λ = 1.5418 Å (Cu Kα). Input: a DFT-relaxed cell (PBE, the Materials Project).
Kinematic intensities with the Lorentz-polarization factor, no thermal factor.

Structural model:
Lattice parameters (Å, degrees): 5.6001 5.6001 11.1649 90.00 90.00 90.00
Space group I-4 (No. 82)
Asymmetric unit:
Co (0.0000, 0.0000, 0.0000) x2
Cu (0.0000, 0.0000, 0.5000) x2
Cu (0.0000, 0.5000, 0.2500) x2
Ge (0.0000, 0.5000, 0.7500) x2
Se (0.2436, 0.2496, 0.1214) x8

Peak list (6 most intense, 2θ from 5° to 70°, in order of falling intensity)
d [Å]	Position (°2θ)	I_rel	index
3.230	27.6	100	1 1 2
1.978	45.9	72	2 2 0
1.688	54.3	29	3 1 2
1.684	54.5	14	1 1 6
1.400	66.8	7	4 0 0
1.396	67.1	4	0 0 8

***

# 7
# HoTh3
Computed X-ray powder pattern, λ = 1.5418 Å (Cu Kα). Input: a DFT-relaxed cell (PBE, the Materials Project).
Kinematic intensities with the Lorentz-polarization factor, no thermal factor.

Structural model:
Lattice parameters (Å, degrees): 5.0325 5.0325 5.0325 90.00 90.00 90.00
Space group Pm-3m (No. 221)
Asymmetric unit:
Ho (0.0000, 0.0000, 0.0000) x1
Th (0.0000, 0.5000, 0.5000) x3

Peak list (9 most intense, 2θ from 5° to 70°, in order of falling intensity)
d [Å]	Position (°2θ)	I_rel	index
2.905	30.8	100	1 1 1
2.516	35.7	51	2 0 0
1.517	61.1	44	3 1 1
1.779	51.4	37	2 2 0
1.453	64.1	13	2 2 2
5.032	17.6	1	1 0 0
3.558	25.0	1	1 1 0
2.251	40.1	1	2 1 0
2.054	44.1	1	2 1 1

***

# 8
# CaAgHg2
Computed X-ray powder pattern, λ = 1.5418 Å (Cu Kα). Input: a DFT-relaxed cell (PBE, the Materials Project).
Kinematic intensities with the Lorentz-polarization factor, no thermal factor.

Structural model:
Lattice parameters (Å, degrees): 7.2267 7.2267 7.2267 90.00 90.00 90.00
Space group Fm-3m (No. 225)
Asymmetric unit:
Ca (0.0000, 0.0000, 0.0000) x4
Ag (0.0000, 0.0000, 0.5000) x4
Hg (0.2500, 0.2500, 0.2500) x8

Peak list (10 most intense, 2θ from 5° to 70°, in order of falling intensity)
d [Å]	Position (°2θ)	I_rel	index
2.555	35.1	100	2 2 0
1.475	63.0	36	4 2 2
3.613	24.6	23	2 0 0
1.807	50.5	18	4 0 0
1.616	57.0	11	4 2 0
2.086	43.4	8	2 2 2
4.172	21.3	4	1 1 1
2.179	41.4	2	3 1 1
1.658	55.4	1	3 3 1
1.391	67.3	1	5 1 1

***

# 9
# LaEuCd2
Computed X-ray powder pattern, λ = 1.5418 Å (Cu Kα). Input: a DFT-relaxed cell (PBE, the Materials Project).
Kinematic intensities with the Lorentz-polarization factor, no thermal factor.

Structural model:
Lattice parameters (Å, degrees): 7.9558 7.9558 7.9558 90.00 90.00 90.00
Space group Fm-3m (No. 225)
Asymmetric unit:
La (0.0000, 0.0000, 0.0000) x4
Eu (0.0000, 0.0000, 0.5000) x4
Cd (0.2500, 0.2500, 0.2500) x8

Peak list (7 most intense, 2θ from 5° to 70°, in order of falling intensity)
d [Å]	Position (°2θ)	I_rel	index
2.813	31.8	100	2 2 0
1.624	56.7	38	4 2 2
1.989	45.6	18	4 0 0
1.406	66.5	12	4 4 0
3.978	22.3	1	2 0 0
1.779	51.4	1	4 2 0
2.297	39.2	1	2 2 2

***

# 10
# BiSe
Computed X-ray powder pattern, λ = 1.5418 Å (Cu Kα). Input: a DFT-relaxed cell (PBE, the Materials Project).
Kinematic intensities with the Lorentz-polarization factor, no thermal factor.

Structural model:
Lattice parameters (Å, degrees): 4.9672 8.9458 7.4465 90.00 127.75 90.00
Space group P2_1/c (No. 14)
Asymmetric unit:
Bi (0.0994, 0.1334, 0.4082) x4
Se (0.3368, 0.6542, 0.6281) x4

Peak list (10 most intense, 2θ from 5° to 70°, in order of falling intensity)
d [Å]	Position (°2θ)	I_rel	index
3.320	26.9	100	1 2 -1
2.796	32.0	39	0 1 2
4.918	18.0	25	0 1 1
2.507	35.8	23	1 1 1
3.394	26.3	21	1 1 -2
1.965	46.2	20	1 3 1
2.236	40.3	17	0 4 0
3.927	22.6	17	1 0 0
2.478	36.3	16	2 0 -2
2.370	38.0	13	1 1 -3